(1)
# Te2MoW3Se2S4
Simulated powder XRD pattern, CuKα. Input: a structure optimized by DFT (GGA-PBE).
No peak broadening, texture or thermal motion is included.

Main lines, low angle first (5° ≤ 2θ ≤ 70°):
2theta, I_rel, index
7.01, 24, 0 0 3
11.70, 100, 0 0 5
14.05, 24, 0 0 6
31.23, 35, 1 0 0
36.66, 70, 1 0 8
38.02, 19, 0 0 16
44.37, 38, 0 1 13
55.54, 25, 1 1 0

```
Te2MoW3Se2S4
1.0
3.3099 0.0000 0.0000
-1.6550 2.8665 0.0000
0.0000 0.0000 37.8180
Te Mo W Se S
2 1 3 2 4
Direct
0.0000 0.0000 0.0000
0.0000 0.0000 0.1018
0.0000 0.0000 0.4872
0.0000 0.0000 0.8629
0.3333 0.6667 0.0509
0.3333 0.6667 0.6751
0.3333 0.6667 0.8183
0.3333 0.6667 0.9076
0.0000 0.0000 0.6345
0.0000 0.0000 0.7157
0.3333 0.6667 0.4468
0.3333 0.6667 0.5277
```

(2)
# Te2MoW3Se4S2
Simulated powder XRD pattern, CuKα. Input: a structure optimized by DFT (GGA-PBE).
No peak broadening, texture or thermal motion is included.

Main lines, low angle first (5° ≤ 2θ ≤ 70°):
2theta, I_rel, index
6.96, 31, 0 0 3
11.62, 100, 0 0 5
13.95, 26, 0 0 6
30.93, 37, 1 0 0
36.34, 74, 0 1 8
43.99, 42, 1 0 13
45.79, 15, 1 0 14
54.98, 25, 1 1 0

```
Te2MoW3Se4S2
1.0
3.3405 0.0000 0.0000
-1.6702 2.8929 0.0000
0.0000 0.0000 38.0766
Te Mo W Se S
2 1 3 4 2
Direct
0.0000 0.0000 0.0000
0.0000 0.0000 0.0996
0.6667 0.3333 0.0498
0.0000 0.0000 0.2377
0.0000 0.0000 0.6134
0.6667 0.3333 0.4256
0.6667 0.3333 0.1938
0.6667 0.3333 0.2817
0.6667 0.3333 0.5695
0.6667 0.3333 0.6574
0.0000 0.0000 0.3856
0.0000 0.0000 0.4656
```

(3)
# Te2MoWSeS
Simulated powder XRD pattern, CuKα. Input: a structure optimized by DFT (GGA-PBE).
No peak broadening, texture or thermal motion is included.

Main lines, low angle first (5° ≤ 2θ ≤ 70°):
2theta, I_rel, index
11.41, 100, 0 0 5
30.37, 52, 1 0 0
34.48, 21, 0 1 7
35.66, 91, 1 0 8
36.96, 27, 1 0 9
43.15, 53, 1 0 13
44.91, 19, 0 1 14
53.93, 40, 1 1 0

```
Te2MoWSeS
1.0
3.4013 0.0000 0.0000
-1.7007 2.9456 0.0000
0.0000 0.0000 38.7918
Te Mo W Se S
4 2 2 2 2
Direct
0.0000 0.0000 0.0000
0.0000 0.0000 0.0970
0.3333 0.6667 0.1880
0.3333 0.6667 0.2850
0.0000 0.0000 0.8607
0.3333 0.6667 0.4243
0.0000 0.0000 0.2365
0.3333 0.6667 0.0485
0.0000 0.0000 0.3819
0.0000 0.0000 0.4667
0.3333 0.6667 0.8219
0.3333 0.6667 0.8995
```

(4)
# TeMoWSe2S
Simulated powder XRD pattern, CuKα. Input: a structure optimized by DFT (GGA-PBE).
No peak broadening, texture or thermal motion is included.

Main lines, low angle first (5° ≤ 2θ ≤ 70°):
2theta, I_rel, index
6.67, 15, 0 0 3
11.13, 100, 0 0 5
13.37, 19, 0 0 6
30.94, 37, 1 0 0
35.92, 61, 1 0 8
43.05, 45, 0 1 13
44.72, 15, 1 0 14
54.99, 25, 1 1 0

```
TeMoWSe2S
1.0
3.3405 0.0000 0.0000
-1.6702 2.8929 0.0000
0.0000 0.0000 39.7457
Te Mo W Se S
2 2 2 4 2
Direct
0.0000 0.0000 0.0000
0.0000 0.0000 0.0955
0.0000 0.0000 0.8593
0.3333 0.6667 0.0478
0.0000 0.0000 0.2367
0.3333 0.6667 0.4237
0.3333 0.6667 0.1945
0.3333 0.6667 0.2788
0.3333 0.6667 0.8174
0.3333 0.6667 0.9013
0.0000 0.0000 0.3853
0.0000 0.0000 0.4620
```

> What is the formula in the third record?

Te2MoWSeS